(1)
Structure and computed powder X-ray diffraction pattern of Mg2VN2 (a cell relaxed with PBE; a wavelength of 1.5418 Å).
Peak positions follow from Bragg's law for the DFT cell and can differ from measured ones.

Peak list (6 most intense, 2θ = 10–80°, most intense first)
d [Å], Position (°2θ), I/Imax
2.242, 40.22, 100
2.494, 36.02, 96
3.565, 24.98, 51
2.018, 44.91, 38
1.501, 61.83, 26
1.585, 58.19, 24

Structure:
a = 5.408 Å, b = 5.408 Å, c = 6.021 Å
α = 111.44°, β = 111.44°, γ = 49.03°
Positions (direct):
Mg  0.015  0.015  0.252
Mg  0.327  0.327  0.895
Mg  0.673  0.673  0.105
Mg  0.985  0.985  0.748
V  0.350  0.350  0.381
V  0.650  0.650  0.619
N  0.179  0.179  0.108
N  0.498  0.498  0.729
N  0.502  0.502  0.271
N  0.821  0.821  0.892

(2)
Structure and computed powder X-ray diffraction pattern of MgVN2 (a cell relaxed with PBE; a wavelength of 1.5418 Å).
Peak positions follow from Bragg's law for the DFT cell and can differ from measured ones.

Peak list (6 most intense, 2θ = 10–80°, most intense first)
d [Å], Position (°2θ), I/Imax
2.502, 35.89, 100
2.876, 31.10, 79
2.537, 35.37, 51
1.660, 55.33, 48
1.389, 67.40, 36
1.458, 63.84, 35

Structure:
a = 5.748 Å, b = 6.645 Å, c = 5.075 Å
α = 90.00°, β = 90.00°, γ = 90.00°
Positions (direct):
Mg  0.088  0.122  0.000
Mg  0.412  0.622  0.500
Mg  0.588  0.378  0.000
Mg  0.912  0.878  0.500
V  0.076  0.626  0.009
V  0.424  0.126  0.509
V  0.576  0.874  0.009
V  0.924  0.374  0.509
N  0.066  0.609  0.377
N  0.104  0.144  0.422
N  0.396  0.644  0.922
N  0.434  0.109  0.877
N  0.566  0.891  0.377
N  0.604  0.356  0.422
N  0.896  0.856  0.922
N  0.934  0.391  0.877

(3)
Structure and computed powder X-ray diffraction pattern of Mg4VN4 (a cell relaxed with PBE; a wavelength of 1.5418 Å).
Peak positions follow from Bragg's law for the DFT cell and can differ from measured ones.

Peak list (6 most intense, 2θ = 10–80°, most intense first)
d [Å], Position (°2θ), I/Imax
2.530, 35.49, 100
2.219, 40.66, 81
2.188, 41.27, 75
2.196, 41.11, 73
2.529, 35.50, 52
1.550, 59.64, 35

Structure:
a = 5.401 Å, b = 5.402 Å, c = 8.222 Å
α = 71.63°, β = 84.39°, γ = 69.49°
Positions (direct):
Mg  0.228  0.331  0.297
Mg  0.244  0.549  0.920
Mg  0.247  0.962  0.093
Mg  0.255  0.743  0.502
Mg  0.745  0.257  0.498
Mg  0.753  0.038  0.907
Mg  0.756  0.451  0.080
Mg  0.772  0.669  0.703
V  0.228  0.109  0.734
V  0.772  0.891  0.266
N  0.010  0.303  0.879
N  0.014  0.918  0.696
N  0.334  0.313  0.538
N  0.491  0.817  0.881
N  0.509  0.183  0.119
N  0.666  0.687  0.462
N  0.986  0.082  0.304
N  0.990  0.697  0.121

(4)
Structure and computed powder X-ray diffraction pattern of MgV2N2 (a cell relaxed with PBE; a wavelength of 1.5418 Å).
Peak positions follow from Bragg's law for the DFT cell and can differ from measured ones.

Peak list (6 most intense, 2θ = 10–80°, most intense first)
d [Å], Position (°2θ), I/Imax
2.853, 31.36, 100
2.349, 38.31, 64
3.109, 28.71, 59
1.618, 56.89, 57
2.198, 41.06, 38
1.554, 59.47, 36

Structure:
a = 3.109 Å, b = 3.109 Å, c = 7.174 Å
α = 90.00°, β = 90.00°, γ = 90.00°
Positions (direct):
Mg  0.000  0.000  0.000
V  0.500  0.500  0.329
V  0.500  0.500  0.671
N  0.000  0.500  0.810
N  0.500  0.000  0.190

(5)
Structure and computed powder X-ray diffraction pattern of Mg3V2N4 (a cell relaxed with PBE; a wavelength of 1.5418 Å).
Peak positions follow from Bragg's law for the DFT cell and can differ from measured ones.

Peak list (6 most intense, 2θ = 10–80°, most intense first)
d [Å], Position (°2θ), I/Imax
2.598, 34.52, 100
1.974, 45.97, 76
2.727, 32.84, 64
1.649, 55.76, 49
3.035, 29.43, 44
4.024, 22.09, 42

Structure:
a = 6.285 Å, b = 6.285 Å, c = 5.555 Å
α = 91.07°, β = 91.07°, γ = 70.44°
Positions (direct):
Mg  0.098  0.902  0.750
Mg  0.269  0.509  0.530
Mg  0.491  0.731  0.970
Mg  0.509  0.269  0.030
Mg  0.731  0.491  0.470
Mg  0.902  0.098  0.250
V  0.066  0.320  0.899
V  0.320  0.066  0.399
V  0.680  0.934  0.601
V  0.934  0.680  0.101
N  0.049  0.233  0.568
N  0.224  0.553  0.923
N  0.233  0.049  0.068
N  0.447  0.776  0.577
N  0.553  0.224  0.423
N  0.767  0.951  0.932
N  0.776  0.447  0.077
N  0.951  0.767  0.432

(6)
Structure and computed powder X-ray diffraction pattern of Mg2VN3 (a cell relaxed with PBE; a wavelength of 1.5418 Å).
Peak positions follow from Bragg's law for the DFT cell and can differ from measured ones.

Peak list (6 most intense, 2θ = 10–80°, most intense first)
d [Å], Position (°2θ), I/Imax
2.507, 35.82, 100
2.875, 31.10, 93
2.560, 35.05, 91
1.674, 54.85, 56
2.531, 35.47, 55
1.401, 66.78, 51

Structure:
a = 5.751 Å, b = 5.751 Å, c = 5.120 Å
α = 90.00°, β = 90.00°, γ = 60.83°
Positions (direct):
Mg  0.001  0.669  0.500
Mg  0.331  0.999  0.500
Mg  0.669  0.001  0.000
Mg  0.999  0.331  0.000
V  0.337  0.663  0.996
V  0.663  0.337  0.496
N  0.035  0.668  0.085
N  0.332  0.965  0.085
N  0.364  0.636  0.633
N  0.636  0.364  0.133
N  0.668  0.035  0.585
N  0.965  0.332  0.585

(7)
Structure and computed powder X-ray diffraction pattern of Mg2WN2 (a cell relaxed with PBE; a wavelength of 1.5418 Å).
Peak positions follow from Bragg's law for the DFT cell and can differ from measured ones.

Peak list (6 most intense, 2θ = 10–80°, most intense first)
d [Å], Position (°2θ), I/Imax
3.538, 25.17, 100
5.697, 15.55, 77
2.497, 35.96, 66
2.507, 35.82, 65
4.005, 22.20, 44
2.234, 40.37, 38

Structure:
a = 5.300 Å, b = 5.300 Å, c = 6.060 Å
α = 108.01°, β = 108.01°, γ = 49.86°
Positions (direct):
Mg  0.003  0.003  0.240
Mg  0.333  0.333  0.906
Mg  0.667  0.667  0.094
Mg  0.997  0.997  0.760
W  0.339  0.339  0.404
W  0.661  0.661  0.596
N  0.175  0.175  0.103
N  0.497  0.497  0.258
N  0.503  0.503  0.742
N  0.825  0.825  0.897

(8)
Structure and computed powder X-ray diffraction pattern of MgW2N2 (a cell relaxed with PBE; a wavelength of 1.5418 Å).
Peak positions follow from Bragg's law for the DFT cell and can differ from measured ones.

Peak list (6 most intense, 2θ = 10–80°, most intense first)
d [Å], Position (°2θ), I/Imax
3.291, 27.09, 100
2.423, 37.10, 51
2.991, 29.88, 47
2.327, 38.69, 46
1.933, 47.02, 43
1.666, 55.11, 40

Structure:
a = 3.291 Å, b = 3.291 Å, c = 7.162 Å
α = 90.00°, β = 90.00°, γ = 90.00°
Positions (direct):
Mg  0.000  0.000  0.000
W  0.500  0.500  0.321
W  0.500  0.500  0.679
N  0.000  0.500  0.817
N  0.500  0.000  0.183

(9)
Structure and computed powder X-ray diffraction pattern of MgZrN2 (a cell relaxed with PBE; a wavelength of 1.5418 Å).
Peak positions follow from Bragg's law for the DFT cell and can differ from measured ones.

Peak list (6 most intense, 2θ = 10–80°, most intense first)
d [Å], Position (°2θ), I/Imax
2.626, 34.14, 100
3.232, 27.60, 77
1.866, 48.80, 57
1.437, 64.88, 45
3.856, 23.06, 39
4.887, 18.15, 38

Structure:
a = 6.470 Å, b = 4.505 Å, c = 7.459 Å
α = 90.00°, β = 90.00°, γ = 90.00°
Positions (direct):
Mg  0.079  0.250  0.119
Mg  0.421  0.750  0.619
Mg  0.579  0.250  0.381
Mg  0.921  0.750  0.881
Zr  0.089  0.250  0.631
Zr  0.411  0.750  0.131
Zr  0.589  0.250  0.869
Zr  0.911  0.750  0.369
N  0.081  0.750  0.616
N  0.082  0.750  0.129
N  0.418  0.250  0.629
N  0.419  0.250  0.116
N  0.581  0.750  0.884
N  0.582  0.750  0.371
N  0.918  0.250  0.871
N  0.919  0.250  0.384

(10)
Structure and computed powder X-ray diffraction pattern of MgZrN2 (a cell relaxed with PBE; a wavelength of 1.5418 Å).
Peak positions follow from Bragg's law for the DFT cell and can differ from measured ones.

Peak list (6 most intense, 2θ = 10–80°, most intense first)
d [Å], Position (°2θ), I/Imax
2.620, 34.23, 100
4.043, 21.99, 89
2.247, 40.13, 79
1.612, 57.13, 51
2.315, 38.91, 43
1.359, 69.15, 28

Structure:
a = 5.615 Å, b = 5.615 Å, c = 5.615 Å
α = 132.82°, β = 132.82°, γ = 68.94°
Positions (direct):
Mg  0.375  0.625  0.750
Mg  0.625  0.375  0.250
Zr  0.125  0.875  0.250
Zr  0.875  0.125  0.750
N  0.116  0.366  0.750
N  0.366  0.116  0.250
N  0.634  0.884  0.750
N  0.884  0.634  0.250

(11)
Structure and computed powder X-ray diffraction pattern of Mg4ZrN4 (a cell relaxed with PBE; a wavelength of 1.5418 Å).
Peak positions follow from Bragg's law for the DFT cell and can differ from measured ones.

Peak list (6 most intense, 2θ = 10–80°, most intense first)
d [Å], Position (°2θ), I/Imax
2.625, 34.16, 100
2.210, 40.83, 75
2.267, 39.76, 73
2.358, 38.17, 73
2.659, 33.71, 70
2.605, 34.42, 60

Structure:
a = 5.646 Å, b = 5.691 Å, c = 8.458 Å
α = 70.45°, β = 81.14°, γ = 67.40°
Positions (direct):
Mg  0.218  0.334  0.283
Mg  0.241  0.553  0.928
Mg  0.245  0.997  0.081
Mg  0.257  0.736  0.500
Mg  0.743  0.264  0.500
Mg  0.755  0.003  0.919
Mg  0.759  0.447  0.072
Mg  0.782  0.666  0.717
Zr  0.230  0.110  0.718
Zr  0.770  0.890  0.282
N  0.007  0.083  0.304
N  0.023  0.319  0.883
N  0.347  0.339  0.495
N  0.495  0.800  0.900
N  0.505  0.200  0.100
N  0.653  0.661  0.505
N  0.977  0.681  0.117
N  0.993  0.917  0.696

(12)
Structure and computed powder X-ray diffraction pattern of Na3Mg (a cell relaxed with PBE; a wavelength of 1.5418 Å).
Peak positions follow from Bragg's law for the DFT cell and can differ from measured ones.

Peak list (6 most intense, 2θ = 10–80°, most intense first)
d [Å], Position (°2θ), I/Imax
2.754, 32.51, 100
2.856, 31.32, 25
3.144, 28.39, 24
1.532, 60.43, 19
1.629, 56.50, 19
1.815, 50.27, 18

Structure:
a = 7.261 Å, b = 7.261 Å, c = 5.712 Å
α = 90.00°, β = 90.00°, γ = 120.00°
Positions (direct):
Na  0.172  0.343  0.250
Na  0.172  0.828  0.250
Na  0.343  0.172  0.750
Na  0.657  0.828  0.250
Na  0.828  0.172  0.750
Na  0.828  0.657  0.750
Mg  0.333  0.667  0.750
Mg  0.667  0.333  0.250